# 1
Hf: calculated powder X-ray diffraction pattern (Cu Kα (λ = 1.5418 Å)), based on a PBE-relaxed structure.
Intensities are scaled so that the largest is 100.

Principal peaks in the range 5° ≤ 2θ ≤ 70°, sorted by position:
d/Å  I_rel
2.584  100
2.519  31
2.224  65
1.588  23
1.557  22
1.353  14

Cell and atoms:
```
Hf
1.0
3.1756 0.0000 0.0000
-1.5878 2.7502 0.0000
0.0000 0.0000 7.5569
Hf
3
Direct
0.0000 0.0000 0.0000 Hf
0.3333 0.6667 0.6667 Hf
0.6667 0.3333 0.3333 Hf
```

# 2
Hf: calculated powder X-ray diffraction pattern (Cu Kα (λ = 1.5418 Å)), based on a PBE-relaxed structure.
Intensities are scaled so that the largest is 100.

Principal peaks in the range 5° ≤ 2θ ≤ 70°, sorted by position:
d/Å  I_rel
2.740  37
2.542  50
2.486  100
2.364  86
1.594  36
1.350  42

Cell and atoms:
```
Hf
1.0
3.1874 0.0000 0.0000
-1.5937 2.7604 0.0000
0.0000 0.0000 22.8801
Hf
9
Direct
0.0000 0.0000 0.0000 Hf
0.0000 0.0000 0.2224 Hf
0.0000 0.0000 0.7776 Hf
0.3333 0.6667 0.4443 Hf
0.3333 0.6667 0.6667 Hf
0.3333 0.6667 0.8891 Hf
0.6667 0.3333 0.1109 Hf
0.6667 0.3333 0.3333 Hf
0.6667 0.3333 0.5557 Hf
```

# 3
Hf: calculated powder X-ray diffraction pattern (Cu Kα (λ = 1.5418 Å)), based on a PBE-relaxed structure.
Intensities are scaled so that the largest is 100.

Principal peaks in the range 5° ≤ 2θ ≤ 70°, sorted by position:
d/Å  I_rel
2.511  91
2.488  100
1.938  11
1.767  32
1.441  33
1.436  18

Cell and atoms:
```
Hf
1.0
4.9753 0.0000 0.0000
-2.4876 4.3087 0.0000
0.0000 0.0000 3.0897
Hf
3
Direct
0.0000 0.0000 0.0000 Hf
0.3333 0.6667 0.5000 Hf
0.6667 0.3333 0.5000 Hf
```

# 4
HfInHg3S4: calculated powder X-ray diffraction pattern (Cu Kα (λ = 1.5418 Å)), based on a PBE-relaxed structure.
Intensities are scaled so that the largest is 100.

Principal peaks in the range 5° ≤ 2θ ≤ 70°, sorted by position:
d/Å  I_rel
6.790  56
3.920  74
3.395  77
2.401  100
2.047  40
1.518  36

Cell and atoms:
```
HfInHg3S4
1.0
6.7899 0.0000 0.0000
0.0000 6.7899 0.0000
0.0000 0.0000 6.7899
Hf In Hg S
1 1 3 4
Direct
0.0000 0.0000 0.0000 Hf
0.5000 0.5000 0.5000 In
0.0000 0.0000 0.5000 Hg
0.0000 0.5000 0.0000 Hg
0.5000 0.0000 0.0000 Hg
0.2066 0.2066 0.7934 S
0.2066 0.7934 0.2066 S
0.7934 0.2066 0.2066 S
0.7934 0.7934 0.7934 S
```

# 5
LiHfHg3O4: calculated powder X-ray diffraction pattern (Cu Kα (λ = 1.5418 Å)), based on a PBE-relaxed structure.
Intensities are scaled so that the largest is 100.

Principal peaks in the range 5° ≤ 2θ ≤ 70°, sorted by position:
d/Å  I_rel
5.948  100
3.434  44
2.974  65
2.660  46
2.103  63
1.983  27

Cell and atoms:
```
LiHfHg3O4
1.0
5.9482 0.0000 0.0000
0.0000 5.9482 0.0000
0.0000 0.0000 5.9482
Li Hf Hg O
1 1 3 4
Direct
0.0000 0.0000 0.0000 Li
0.5000 0.5000 0.5000 Hf
0.0000 0.5000 0.5000 Hg
0.5000 0.0000 0.5000 Hg
0.5000 0.5000 0.0000 Hg
0.3054 0.3054 0.3054 O
0.3054 0.6946 0.6946 O
0.6946 0.3054 0.6946 O
0.6946 0.6946 0.3054 O
```

# 6
LiHfHg3Se4: calculated powder X-ray diffraction pattern (Cu Kα (λ = 1.5418 Å)), based on a PBE-relaxed structure.
Intensities are scaled so that the largest is 100.

Principal peaks in the range 5° ≤ 2θ ≤ 70°, sorted by position:
d/Å  I_rel
6.892  100
3.979  54
3.082  30
2.437  92
2.297  27
1.407  28

Cell and atoms:
```
LiHfHg3Se4
1.0
6.8917 0.0000 0.0000
0.0000 6.8917 0.0000
0.0000 0.0000 6.8917
Li Hf Hg Se
1 1 3 4
Direct
0.0000 0.0000 0.0000 Li
0.5000 0.5000 0.5000 Hf
0.0000 0.5000 0.5000 Hg
0.5000 0.0000 0.5000 Hg
0.5000 0.5000 0.0000 Hg
0.2843 0.2843 0.2843 Se
0.2843 0.7157 0.7157 Se
0.7157 0.2843 0.7157 Se
0.7157 0.7157 0.2843 Se
```